For CsMg6Zn, DFT lattice parameters and positions (GGA-PBE) gives the theoretical powder XRD pattern in this record (copper Kα).
Peak positions follow from Bragg's law for the DFT cell and can differ from measured ones.

Atomic structure:
```
CsMg6Zn
1.0
4.8419 0.0000 0.0000
0.0000 6.2841 0.0000
0.0000 0.0000 18.3948
Cs Mg Zn
2 12 2
Cartesian
0.0000 0.0000 0.0000
0.0000 3.1421 9.1974
0.0000 1.5321 13.4097
0.0000 1.6099 4.2124
0.0000 4.6742 4.2124
0.0000 4.7520 13.4097
2.4210 0.0000 3.3328
2.4210 0.0000 12.4034
2.4210 1.5708 6.1701
2.4210 1.5713 15.3675
2.4210 3.1421 3.2060
2.4210 3.1421 12.5302
2.4210 4.7133 6.1701
2.4210 4.7129 15.3675
0.0000 0.0000 6.5033
0.0000 3.1421 15.7007
```

Most intense lines, 10 to 90 degrees two-theta, by angle:
14.90°, I = 52.3, hkl 0 1 1
18.32°, I = 34.7, hkl 1 0 0
20.23°, I = 100.0, hkl 0 1 3
20.73°, I = 38.8, hkl 1 0 2
23.70°, I = 36.3, hkl 1 1 1
27.43°, I = 94.3, hkl 1 1 3
29.13°, I = 36.7, hkl 0 0 6
33.76°, I = 32.4, hkl 1 1 5
35.43°, I = 68.0, hkl 1 2 2
37.13°, I = 35.0, hkl 2 0 0